Structure and calculated XRD peak list of Zr3Be7Cu2 (a GGA-PBE-relaxed structure; λ = 1.5418 Å (Cu Kα)).
Intensities are scaled so that the largest is 100.

```
data_Zr3Be7Cu2
_chemical_formula_sum 'Zr9 Be21 Cu6'
_cell_length_a 4.7633
_cell_length_b 4.7633
_cell_length_c 22.8232
_cell_angle_alpha 90.00
_cell_angle_beta 90.00
_cell_angle_gamma 120.00
_space_group_name_H-M_alt 'R -3 m'
_space_group_IT_number 166
_space_group_name_Hall '-R 3 2"'
loop_
_atom_site_label
_atom_site_type_symbol
_atom_site_fract_x
_atom_site_fract_y
_atom_site_fract_z
_atom_site_occupancy
Zr1 Zr 0.0000 0.0000 0.0000 1
Zr2 Zr 0.0000 0.0000 0.1415 1
Be1 Be 0.0000 0.0000 0.5000 1
Be2 Be 0.9996 0.4998 0.0825 1
Cu1 Cu 0.0000 0.0000 0.3340 1
```

Principal peaks in the range 2θ from 10° to 80°, in order of falling intensity:
| (hkl) | 2θ (°) | d [Å] | Rel. int. |
| --- | --- | --- | --- |
| 1 1 0 | 37.77 | 2.382 | 100.0 |
| 1 1 6 | 44.90 | 2.019 | 90.9 |
| 0 0 6 | 23.39 | 3.804 | 65.2 |
| 1 0 1 | 21.90 | 4.059 | 36.9 |
| 1 0 7 | 35.08 | 2.558 | 32.1 |
| 1 0 4 | 26.67 | 3.343 | 27.7 |
| 3 0 6 | 73.19 | 1.293 | 19.8 |
| 1 1 15 | 73.92 | 1.282 | 19.2 |
| 1 1 9 | 52.73 | 1.736 | 17.0 |
| 3 0 0 | 68.20 | 1.375 | 16.3 |

Structure and calculated XRD peak list of Zr2Be5Cu5 (a GGA-PBE-relaxed structure; λ = 1.5418 Å (Cu Kα)).
Intensities are scaled so that the largest is 100.

```
data_Zr2Be5Cu5
_chemical_formula_sum 'Zr2 Be5 Cu5'
_cell_length_a 3.8263
_cell_length_b 4.6282
_cell_length_c 8.2822
_cell_angle_alpha 90.00
_cell_angle_beta 90.00
_cell_angle_gamma 90.00
_space_group_name_H-M_alt 'P m m m'
_space_group_IT_number 47
_space_group_name_Hall '-P 2 2'
loop_
_atom_site_label
_atom_site_type_symbol
_atom_site_fract_x
_atom_site_fract_y
_atom_site_fract_z
_atom_site_occupancy
Zr1 Zr 0.0000 0.0000 0.0000 1
Zr2 Zr 0.0000 0.5000 0.5000 1
Be1 Be 0.5000 0.0000 0.5000 1
Be2 Be 0.5000 0.2487 0.2533 1
Cu1 Cu 0.0000 0.0000 0.3332 1
Cu2 Cu 0.0000 0.5000 0.1799 1
Cu3 Cu 0.5000 0.5000 0.0000 1
```

Principal peaks in the range 2θ from 10° to 80°, in order of falling intensity:
| (hkl) | 2θ (°) | d [Å] | Rel. int. |
| --- | --- | --- | --- |
| 1 1 3 | 44.98 | 2.015 | 100.0 |
| 1 0 0 | 23.25 | 3.826 | 68.0 |
| 0 1 3 | 37.95 | 2.371 | 42.6 |
| 0 2 0 | 38.92 | 2.314 | 35.6 |
| 1 2 0 | 45.83 | 1.980 | 28.1 |
| 2 0 0 | 47.53 | 1.913 | 23.3 |
| 1 3 3 | 74.73 | 1.270 | 20.1 |
| 2 1 3 | 62.37 | 1.489 | 18.4 |
| 1 1 1 | 32.22 | 2.778 | 16.2 |
| 2 2 0 | 63.05 | 1.474 | 15.9 |

Structure and calculated XRD peak list of DyBeNF6 (a GGA-PBE-relaxed structure; λ = 1.5418 Å (Cu Kα)).
Intensities are scaled so that the largest is 100.

```
data_DyBeNF6
_chemical_formula_sum 'Dy2 Be2 N2 F12'
_cell_length_a 6.7676
_cell_length_b 5.8108
_cell_length_c 7.6801
_cell_angle_alpha 90.00
_cell_angle_beta 115.64
_cell_angle_gamma 90.00
_space_group_name_H-M_alt 'P 1 21/m 1'
_space_group_IT_number 11
_space_group_name_Hall '-P 2yb'
loop_
_atom_site_label
_atom_site_type_symbol
_atom_site_fract_x
_atom_site_fract_y
_atom_site_fract_z
_atom_site_occupancy
Dy1 Dy 0.1154 0.2500 0.2209 1
Be1 Be 0.2751 0.7500 0.5590 1
N1 N 0.4127 0.7500 0.1172 1
F1 F 0.1561 0.7500 0.6923 1
F2 F 0.1819 0.5466 0.0307 1
F3 F 0.2069 0.5331 0.4244 1
F4 F 0.4729 0.2500 0.3151 1
```

Principal peaks in the range 2θ from 10° to 80°, in order of falling intensity:
| (hkl) | 2θ (°) | d [Å] | Rel. int. |
| --- | --- | --- | --- |
| 0 1 1 | 19.95 | 4.451 | 100.0 |
| 1 0 -1 | 14.62 | 6.059 | 63.3 |
| 1 0 0 | 14.52 | 6.101 | 47.9 |
| 1 1 -2 | 28.07 | 3.179 | 38.7 |
| 0 2 2 | 40.53 | 2.226 | 32.0 |
| 1 1 -1 | 21.17 | 4.198 | 31.7 |
| 1 1 1 | 27.91 | 3.197 | 24.8 |
| 1 2 -3 | 47.37 | 1.919 | 19.1 |
| 2 0 -1 | 26.34 | 3.384 | 18.1 |
| 2 1 0 | 33.17 | 2.701 | 15.3 |